This entry pairs a crystal structure of TiCuGeSe2 with its computed powder diffractogram. Radiation: Cu Kα. Structure: a GGA-PBE-relaxed structure.
Neutral-atom scattering factors, no anomalous dispersion.

Main lines, by angle (5° ≤ 2θ ≤ 70°):
18.66 deg, I 6
26.13 deg, I 8
31.99 deg, I 100
36.73 deg, I 64
37.84 deg, I 30
52.93 deg, I 22
53.76 deg, I 41
63.19 deg, I 27
64.68 deg, I 13
66.88 deg, I 21

Structure:
```
data_TiCuGeSe2
_cell_length_a 4.893
_cell_length_b 4.893
_cell_length_c 4.756
_cell_angle_alpha 90.00
_cell_angle_beta 90.00
_cell_angle_gamma 90.00
_space_group_name_H-M_alt 'P 1'
_space_group_IT_number 1
_space_group_name_Hall 'P 1'
loop_
_atom_site_label
_atom_site_type_symbol
_atom_site_fract_x
_atom_site_fract_y
_atom_site_fract_z
_atom_site_occupancy
Ti1 Ti 0.000 0.000 0.000 1
Cu1 Cu 0.000 0.000 0.500 1
Ge1 Ge 0.500 0.500 0.500 1
Se1 Se 0.000 0.500 0.000 1
Se2 Se 0.500 0.000 0.000 1
```



This entry pairs a crystal structure of Tl2CuGeSe4 with its computed powder diffractogram. Radiation: Cu Kα. Structure: a GGA-PBE-relaxed structure.
Neutral-atom scattering factors, no anomalous dispersion.

Main lines, by angle (5° ≤ 2θ ≤ 70°):
24.00 deg, I 22
27.88 deg, I 100
29.11 deg, I 49
34.21 deg, I 37
35.47 deg, I 11
38.08 deg, I 13
44.69 deg, I 52
51.53 deg, I 27
55.42 deg, I 15
68.59 deg, I 13

Structure:
```
data_Tl2CuGeSe4
_cell_length_a 7.414
_cell_length_b 7.414
_cell_length_c 8.078
_cell_angle_alpha 90.00
_cell_angle_beta 90.00
_cell_angle_gamma 90.00
_space_group_name_H-M_alt 'P 1'
_space_group_IT_number 1
_space_group_name_Hall 'P 1'
loop_
_atom_site_label
_atom_site_type_symbol
_atom_site_fract_x
_atom_site_fract_y
_atom_site_fract_z
_atom_site_occupancy
Tl1 Tl 0.000 0.000 0.000 1
Tl2 Tl 0.000 0.500 0.250 1
Tl3 Tl 0.500 0.000 0.750 1
Tl4 Tl 0.500 0.500 0.500 1
Cu1 Cu 0.000 0.000 0.500 1
Cu2 Cu 0.500 0.500 0.000 1
Ge1 Ge 0.000 0.500 0.750 1
Ge2 Ge 0.500 0.000 0.250 1
Se1 Se 0.156 0.267 0.597 1
Se2 Se 0.233 0.656 0.903 1
Se3 Se 0.267 0.844 0.403 1
Se4 Se 0.344 0.233 0.097 1
Se5 Se 0.656 0.767 0.097 1
Se6 Se 0.733 0.156 0.403 1
Se7 Se 0.767 0.344 0.903 1
Se8 Se 0.844 0.733 0.597 1
```



This entry pairs a crystal structure of Tm8CuGe3Se4 with its computed powder diffractogram. Radiation: Cu Kα. Structure: a GGA-PBE-relaxed structure.
Neutral-atom scattering factors, no anomalous dispersion.

Main lines, by angle (5° ≤ 2θ ≤ 70°):
26.45 deg, I 7
27.03 deg, I 20
31.14 deg, I 100
44.25 deg, I 37
44.99 deg, I 36
52.95 deg, I 6
53.28 deg, I 3
54.45 deg, I 7
55.73 deg, I 19
64.94 deg, I 12

Structure:
```
data_Tm8CuGe3Se4
_cell_length_a 8.190
_cell_length_b 8.190
_cell_length_c 8.190
_cell_angle_alpha 58.94
_cell_angle_beta 58.94
_cell_angle_gamma 58.94
_space_group_name_H-M_alt 'P 1'
_space_group_IT_number 1
_space_group_name_Hall 'P 1'
loop_
_atom_site_label
_atom_site_type_symbol
_atom_site_fract_x
_atom_site_fract_y
_atom_site_fract_z
_atom_site_occupancy
Tm1 Tm 0.244 0.748 0.748 1
Tm2 Tm 0.245 0.245 0.245 1
Tm3 Tm 0.252 0.252 0.756 1
Tm4 Tm 0.252 0.756 0.252 1
Tm5 Tm 0.748 0.244 0.748 1
Tm6 Tm 0.748 0.748 0.244 1
Tm7 Tm 0.755 0.755 0.755 1
Tm8 Tm 0.756 0.252 0.252 1
Cu1 Cu 0.500 0.500 0.500 1
Ge1 Ge 0.000 0.000 0.500 1
Ge2 Ge 0.000 0.500 0.000 1
Ge3 Ge 0.500 0.000 0.000 1
Se1 Se 0.000 0.000 0.000 1
Se2 Se 0.000 0.500 0.500 1
Se3 Se 0.500 0.000 0.500 1
Se4 Se 0.500 0.500 0.000 1
```



This entry pairs a crystal structure of Cu5SiGe with its computed powder diffractogram. Radiation: Cu Kα. Structure: a GGA-PBE-relaxed structure.
Neutral-atom scattering factors, no anomalous dispersion.

Main lines, by angle (5° ≤ 2θ ≤ 70°):
31.86 deg, I 54
33.10 deg, I 24
42.83 deg, I 93
43.27 deg, I 100
44.42 deg, I 25
45.24 deg, I 77
45.73 deg, I 20
48.50 deg, I 20
50.50 deg, I 22
51.89 deg, I 17

Structure:
```
data_Cu5SiGe
_cell_length_a 4.190
_cell_length_b 4.190
_cell_length_c 10.844
_cell_angle_alpha 90.00
_cell_angle_beta 90.00
_cell_angle_gamma 76.77
_space_group_name_H-M_alt 'P 1'
_space_group_IT_number 1
_space_group_name_Hall 'P 1'
loop_
_atom_site_label
_atom_site_type_symbol
_atom_site_fract_x
_atom_site_fract_y
_atom_site_fract_z
_atom_site_occupancy
Cu1 Cu 0.056 0.944 0.750 1
Cu2 Cu 0.139 0.454 0.604 1
Cu3 Cu 0.139 0.454 0.896 1
Cu4 Cu 0.454 0.139 0.104 1
Cu5 Cu 0.454 0.139 0.396 1
Cu6 Cu 0.546 0.861 0.604 1
Cu7 Cu 0.546 0.861 0.896 1
Cu8 Cu 0.861 0.546 0.104 1
Cu9 Cu 0.861 0.546 0.396 1
Cu10 Cu 0.944 0.056 0.250 1
Si1 Si 0.000 0.000 0.000 1
Si2 Si 0.000 0.000 0.500 1
Ge1 Ge 0.398 0.602 0.250 1
Ge2 Ge 0.602 0.398 0.750 1
```



This entry pairs a crystal structure of Sm3CuGe3 with its computed powder diffractogram. Radiation: Cu Kα. Structure: a GGA-PBE-relaxed structure.
Neutral-atom scattering factors, no anomalous dispersion.

Main lines, by angle (5° ≤ 2θ ≤ 70°):
32.14 deg, I 78
32.27 deg, I 54
32.47 deg, I 27
32.60 deg, I 100
33.02 deg, I 52
36.90 deg, I 35
39.63 deg, I 92
40.75 deg, I 40
41.52 deg, I 62
54.05 deg, I 29

Structure:
```
data_Sm3CuGe3
_cell_length_a 5.848
_cell_length_b 5.848
_cell_length_c 14.177
_cell_angle_alpha 108.89
_cell_angle_beta 108.89
_cell_angle_gamma 43.66
_space_group_name_H-M_alt 'P 1'
_space_group_IT_number 1
_space_group_name_Hall 'P 1'
loop_
_atom_site_label
_atom_site_type_symbol
_atom_site_fract_x
_atom_site_fract_y
_atom_site_fract_z
_atom_site_occupancy
Sm1 Sm 0.033 0.033 0.383 1
Sm2 Sm 0.100 0.100 0.922 1
Sm3 Sm 0.245 0.245 0.227 1
Sm4 Sm 0.755 0.755 0.773 1
Sm5 Sm 0.900 0.900 0.078 1
Sm6 Sm 0.967 0.967 0.617 1
Cu1 Cu 0.259 0.259 0.603 1
Cu2 Cu 0.741 0.741 0.397 1
Ge1 Ge 0.360 0.360 0.455 1
Ge2 Ge 0.379 0.379 0.924 1
Ge3 Ge 0.463 0.463 0.766 1
Ge4 Ge 0.537 0.537 0.234 1
Ge5 Ge 0.621 0.621 0.076 1
Ge6 Ge 0.640 0.640 0.545 1
```



This entry pairs a crystal structure of Sm2YCu2Ge2 with its computed powder diffractogram. Radiation: Cu Kα. Structure: a GGA-PBE-relaxed structure.
Neutral-atom scattering factors, no anomalous dispersion.

Main lines, by angle (5° ≤ 2θ ≤ 70°):
17.21 deg, I 11
24.47 deg, I 25
26.93 deg, I 25
31.73 deg, I 56
33.71 deg, I 100
38.09 deg, I 16
42.75 deg, I 80
54.21 deg, I 12
55.52 deg, I 24
62.97 deg, I 20

Structure:
```
data_Sm2YCu2Ge2
_cell_length_a 10.591
_cell_length_b 10.591
_cell_length_c 10.591
_cell_angle_alpha 23.04
_cell_angle_beta 23.04
_cell_angle_gamma 23.04
_space_group_name_H-M_alt 'P 1'
_space_group_IT_number 1
_space_group_name_Hall 'P 1'
loop_
_atom_site_label
_atom_site_type_symbol
_atom_site_fract_x
_atom_site_fract_y
_atom_site_fract_z
_atom_site_occupancy
Sm1 Sm 0.121 0.121 0.121 1
Sm2 Sm 0.879 0.879 0.879 1
Y1 Y 0.000 0.000 0.000 1
Cu1 Cu 0.391 0.391 0.391 1
Cu2 Cu 0.609 0.609 0.609 1
Ge1 Ge 0.272 0.272 0.272 1
Ge2 Ge 0.728 0.728 0.728 1
```